Record 1
Starting from the GGA-PBE geometry in Alexandria, the PXRD pattern of SmInAg2S4 was simulated for Cu Kα.

Structural model:
Lattice parameters (Å, degrees): 7.846 7.846 7.699 119.28 119.28 87.71
Element x y z (fractional)
Sm (0.000, 0.500, 0.000)
Sm (0.500, 0.000, 0.500)
In (0.000, 0.000, 0.000)
In (0.000, 0.000, 0.500)
Ag (0.000, 0.500, 0.500)
Ag (0.500, 0.000, 0.000)
Ag (0.500, 0.500, 0.000)
Ag (0.500, 0.500, 0.500)
S (0.210, 0.224, 0.466)
S (0.224, 0.210, 0.966)
S (0.261, 0.738, 0.495)
S (0.262, 0.739, 0.005)
S (0.738, 0.261, 0.995)
S (0.739, 0.262, 0.505)
S (0.776, 0.790, 0.034)
S (0.790, 0.776, 0.534)

Peak list (10 most intense, 15 to 90 degrees two-theta, in order of rising 2θ)
2theta	I/Imax
27.00	51
28.41	44
31.68	100
32.96	45
43.53	19
46.36	66
47.22	16
55.66	18
58.79	16
78.02	17

Record 2
Starting from the GGA-PBE geometry in Alexandria, the PXRD pattern of Tb3InAg3S8 was simulated for Cu Kα.

Structural model:
Lattice parameters (Å, degrees): 7.631 7.631 7.924 118.60 118.60 63.32
Element x y z (fractional)
Tb (0.000, 0.000, 0.000)
Tb (0.000, 0.500, 0.500)
Tb (0.500, 0.000, 0.500)
In (0.500, 0.500, 0.000)
Ag (0.000, 0.500, 0.000)
Ag (0.500, 0.000, 0.000)
Ag (0.500, 0.500, 0.500)
S (0.252, 0.252, 0.268)
S (0.252, 0.735, 0.228)
S (0.256, 0.256, 0.751)
S (0.265, 0.748, 0.772)
S (0.735, 0.252, 0.228)
S (0.744, 0.744, 0.249)
S (0.748, 0.265, 0.772)
S (0.748, 0.748, 0.732)

Peak list (10 most intense, 15 to 90 degrees two-theta, in order of rising 2θ)
2theta	I/Imax
27.22	23
27.79	43
28.79	20
31.80	100
33.37	44
45.28	18
45.74	35
45.88	17
47.76	33
57.40	17